Starting from a DFT-relaxed cell (PBE, Alexandria), the PXRD pattern of La4SbAs2S was calculated for copper Kα.
Kinematic intensities with the Lorentz-polarization factor, no thermal factor.

Largest 12 diffraction maxima, low angle first, 5° ≤ 2θ ≤ 70°:
(2 0 2), 24.81°, d 3.589, I = 14.3; (2 2 0), 28.72°, d 3.108, I = 100.0; (2 2 4), 41.05°, d 2.199, I = 62.4; (4 0 0), 41.14°, d 2.194, I = 12.6; (2 0 6), 48.55°, d 1.875, I = 4.6; (4 2 2), 48.62°, d 1.873, I = 2.4; (0 4 4), 50.81°, d 1.797, I = 13.2; (4 0 4), 50.96°, d 1.792, I = 13.3; (4 4 0), 59.48°, d 1.554, I = 12.3; (2 6 0), 67.23°, d 1.392, I = 5.5; (4 4 4), 67.38°, d 1.390, I = 22.3; (6 2 0), 67.47°, d 1.388, I = 5.7

Crystal structure
```
data_La4SbAs2S
_cell_length_a 8.7757
_cell_length_b 8.8101
_cell_length_c 12.4275
_cell_angle_alpha 90.00
_cell_angle_beta 90.00
_cell_angle_gamma 90.00
_symmetry_space_group_name_H-M 'I m m a'
_symmetry_Int_Tables_number 74
_symmetry_space_group_name_Hall '-I 2b 2'
loop_
_atom_site_label
_atom_site_fract_x
_atom_site_fract_y
_atom_site_fract_z
_atom_site_occupancy
La1 0.0000 0.0102 0.2494 1
La2 0.2491 0.2500 0.4948 1
Sb1 0.2500 0.2500 0.7500 1
As1 0.0000 0.0000 0.5000 1
As2 0.2500 0.2500 0.2500 1
S1 0.0000 0.0000 0.0000 1
```